For Sb2O3, a cell relaxed with GGA-PBE gives the simulated powder diffraction line list in this record (a wavelength of 1.5418 Å).
No peak broadening, texture or thermal motion is included.

Structural model:
Unit cell a=8.1254 b=8.1254 c=8.1254 alpha=60.00 beta=60.00 gamma=60.00
Element x y z (fractional)
Sb: 0.2124 0.7625 0.7625
Sb: 0.2375 0.2375 0.2375
Sb: 0.2375 0.2375 0.7876
Sb: 0.2375 0.7876 0.2375
Sb: 0.7625 0.2124 0.7625
Sb: 0.7625 0.7625 0.2124
Sb: 0.7625 0.7625 0.7625
Sb: 0.7876 0.2375 0.2375
O: 0.0601 0.0601 0.6899
O: 0.0601 0.6899 0.0601
O: 0.0601 0.6899 0.6899
O: 0.3101 0.3101 0.9399
O: 0.3101 0.9399 0.3101
O: 0.3101 0.9399 0.9399
O: 0.6899 0.0601 0.0601
O: 0.6899 0.0601 0.6899
O: 0.6899 0.6899 0.0601
O: 0.9399 0.3101 0.3101
O: 0.9399 0.3101 0.9399
O: 0.9399 0.9399 0.3101

Principal peaks in the range 2θ = 10–90°, by intensity:
2θ (°)  intensity
26.88  100
44.61  37
52.85  37
31.13  36
13.35  19
71.59  12
34.01  12
55.39  11
73.75  11
57.25  10


For Sr2CuCl2O2, a cell relaxed with GGA-PBE gives the simulated powder diffraction line list in this record (a wavelength of 1.5418 Å).
No peak broadening, texture or thermal motion is included.

Structural model:
Unit cell a=4.9388 b=4.9388 c=6.1170 alpha=90.00 beta=90.00 gamma=90.00
Element x y z (fractional)
Sr: 0.0000 0.5000 0.0000
Sr: 0.5000 0.0000 0.0000
Cu: 0.0000 0.0000 0.5000
Cl: 0.0000 0.5000 0.5000
Cl: 0.5000 0.0000 0.5000
O: 0.0000 0.0000 0.0000
O: 0.5000 0.5000 0.0000

Principal peaks in the range 2θ = 10–90°, by intensity:
2θ (°)  intensity
36.38  100
29.20  93
47.31  90
29.45  55
25.51  45
61.11  39
52.40  32
39.15  28
23.15  26
17.96  23